No. 1
# Ta7Nb2Os2
Calculated powder XRD pattern, Cu Ka. Input: DFT lattice parameters and positions (PBE).
No peak broadening, texture or thermal motion is included.

Cell and atoms:
a = 5.5572 Å, b = 6.2729 Å, c = 6.5372 Å
α = 102.41°, β = 101.52°, γ = 108.65°
Sites, in units of the cell vectors:
Ta: 0.0000 0.0000 0.0000
Ta: 0.0227 0.3483 0.3323
Ta: 0.1865 0.3794 0.8857
Ta: 0.2490 0.0066 0.4888
Ta: 0.7510 0.9934 0.5112
Ta: 0.8135 0.6206 0.1143
Ta: 0.9773 0.6517 0.6677
Nb: 0.4891 0.6535 0.6906
Nb: 0.5109 0.3465 0.3094
Os: 0.4261 0.8424 0.1086
Os: 0.5739 0.1576 0.8914

Top 10 peaks for 15° ≤ 2θ ≤ 90°, by angle:
Position (°2θ), d/Å, Rel. int.
30.52, 2.929, 26
33.78, 2.654, 28
36.18, 2.483, 44
37.40, 2.405, 100
38.48, 2.339, 90
38.86, 2.317, 30
39.23, 2.297, 64
40.29, 2.238, 58
42.09, 2.147, 30
44.36, 2.042, 26

***

No. 2
# DyHoEr2In
Calculated powder XRD pattern, Cu Ka. Input: DFT lattice parameters and positions (PBE).
No peak broadening, texture or thermal motion is included.

Cell and atoms:
a = 10.2991 Å, b = 10.2991 Å, c = 9.2012 Å
α = 90.00°, β = 90.00°, γ = 160.56°
Sites, in units of the cell vectors:
Dy: 0.1050 0.8950 0.7500
Dy: 0.8950 0.1050 0.2500
Ho: 0.5000 0.5000 0.0000
Ho: 0.5000 0.5000 0.5000
Er: 0.3324 0.6676 0.5529
Er: 0.3324 0.6676 0.9471
Er: 0.6676 0.3324 0.0529
Er: 0.6676 0.3324 0.4471
In: 0.2621 0.7379 0.2500
In: 0.7379 0.2621 0.7500

Top 10 peaks for 15° ≤ 2θ ≤ 90°, by angle:
Position (°2θ), d/Å, Rel. int.
30.46, 2.934, 91
32.58, 2.749, 84
32.86, 2.726, 100
33.94, 2.641, 65
35.36, 2.539, 23
39.16, 2.300, 21
39.41, 2.286, 23
45.24, 2.005, 24
52.77, 1.735, 21
63.45, 1.466, 33